1.
For TbCu4Pt4, the GGA-PBE geometry in Alexandria gives the calculated PXRD pattern in this record (CuKα).
Kinematic intensities with the Lorentz-polarization factor, no thermal factor.

Structure:
Lattice parameters (Å, degrees): 7.983 7.983 4.611 90.00 90.00 90.00
Element x y z (fractional)
1 Tb 0.250 0.250 0.250
2 Tb 0.750 0.750 0.750
3 Cu 0.026 0.128 0.748
4 Cu 0.128 0.474 0.752
5 Cu 0.372 0.026 0.752
6 Cu 0.474 0.372 0.748
7 Cu 0.526 0.628 0.252
8 Cu 0.628 0.974 0.248
9 Cu 0.872 0.526 0.248
10 Cu 0.974 0.872 0.252
11 Pt 0.103 0.824 0.753
12 Pt 0.176 0.603 0.253
13 Pt 0.324 0.897 0.253
14 Pt 0.397 0.676 0.753
15 Pt 0.603 0.324 0.247
16 Pt 0.676 0.103 0.747
17 Pt 0.824 0.397 0.747
18 Pt 0.897 0.176 0.247

Peak list (8 most intense, 5 to 70 degrees two-theta, low angle first)
- 2θ 15.70, intensity 24.9
- 2θ 22.27, intensity 15.4
- 2θ 31.70, intensity 35.3
- 2θ 35.56, intensity 46.0
- 2θ 39.08, intensity 100.0
- 2θ 45.44, intensity 71.4
- 2θ 53.85, intensity 28.0
- 2θ 66.21, intensity 16.7


2.
For Ce2Dy3HoEr6, the GGA-PBE geometry in Alexandria gives the calculated PXRD pattern in this record (CuKα).
Kinematic intensities with the Lorentz-polarization factor, no thermal factor.

Structure:
Lattice parameters (Å, degrees): 9.321 9.321 9.321 148.94 115.78 73.05
Element x y z (fractional)
1 Ce 0.166 0.166 0.000
2 Ce 0.834 0.834 0.000
3 Dy 0.000 0.500 0.500
4 Dy 0.334 0.834 0.500
5 Dy 0.666 0.166 0.500
6 Ho 0.500 0.500 0.000
7 Er 0.081 0.332 0.749
8 Er 0.249 0.000 0.249
9 Er 0.417 0.668 0.749
10 Er 0.583 0.332 0.251
11 Er 0.751 0.000 0.751
12 Er 0.919 0.668 0.251

Peak list (8 most intense, 5 to 70 degrees two-theta, low angle first)
- 2θ 31.11, intensity 100.0
- 2θ 35.98, intensity 33.9
- 2θ 36.26, intensity 16.6
- 2θ 51.80, intensity 12.1
- 2θ 52.01, intensity 23.8
- 2θ 61.66, intensity 28.6
- 2θ 62.04, intensity 14.0
- 2θ 64.86, intensity 12.3


3.
For Sm2Zn5Ga, the GGA-PBE geometry in Alexandria gives the calculated PXRD pattern in this record (CuKα).
Kinematic intensities with the Lorentz-polarization factor, no thermal factor.

Structure:
Lattice parameters (Å, degrees): 8.372 8.372 8.840 90.00 90.00 149.42
Element x y z (fractional)
1 Sm 0.000 0.000 0.000
2 Sm 0.000 0.000 0.500
3 Sm 0.203 0.797 0.750
4 Sm 0.797 0.203 0.250
5 Zn 0.186 0.814 0.107
6 Zn 0.186 0.814 0.393
7 Zn 0.350 0.650 0.022
8 Zn 0.350 0.650 0.478
9 Zn 0.402 0.598 0.750
10 Zn 0.598 0.402 0.250
11 Zn 0.650 0.350 0.522
12 Zn 0.650 0.350 0.978
13 Zn 0.814 0.186 0.607
14 Zn 0.814 0.186 0.893
15 Ga 0.444 0.556 0.250
16 Ga 0.556 0.444 0.750

Peak list (8 most intense, 5 to 70 degrees two-theta, low angle first)
- 2θ 29.12, intensity 26.0
- 2θ 33.16, intensity 100.0
- 2θ 34.40, intensity 81.9
- 2θ 37.10, intensity 53.2
- 2θ 39.18, intensity 26.4
- 2θ 40.86, intensity 69.4
- 2θ 45.65, intensity 19.0
- 2θ 69.51, intensity 27.6


4.
For Ce2Br5, the GGA-PBE geometry in Alexandria gives the calculated PXRD pattern in this record (CuKα).
Kinematic intensities with the Lorentz-polarization factor, no thermal factor.

Structure:
Lattice parameters (Å, degrees): 8.098 4.189 13.760 90.00 90.29 90.00
Element x y z (fractional)
1 Ce 0.072 0.250 0.158
2 Ce 0.426 0.750 0.344
3 Ce 0.574 0.250 0.656
4 Ce 0.928 0.750 0.842
5 Br 0.051 0.750 0.319
6 Br 0.151 0.250 0.932
7 Br 0.310 0.250 0.487
8 Br 0.342 0.750 0.128
9 Br 0.342 0.750 0.724
10 Br 0.658 0.250 0.276
11 Br 0.658 0.250 0.872
12 Br 0.690 0.750 0.513
13 Br 0.849 0.750 0.068
14 Br 0.949 0.250 0.681

Peak list (8 most intense, 5 to 70 degrees two-theta, low angle first)
- 2θ 12.66, intensity 100.0
- 2θ 27.27, intensity 52.1
- 2θ 30.71, intensity 46.1
- 2θ 30.92, intensity 30.5
- 2θ 33.38, intensity 59.1
- 2θ 33.73, intensity 38.6
- 2θ 40.70, intensity 49.6
- 2θ 43.19, intensity 35.8


5.
For LaSb2Se, the GGA-PBE geometry in Alexandria gives the calculated PXRD pattern in this record (CuKα).
Kinematic intensities with the Lorentz-polarization factor, no thermal factor.

Structure:
Lattice parameters (Å, degrees): 4.283 4.463 6.382 90.00 108.17 90.00
Element x y z (fractional)
1 La 0.000 0.000 0.000
2 Sb 0.100 0.500 0.419
3 Sb 0.669 0.000 0.444
4 Se 0.469 0.500 0.902

Peak list (8 most intense, 5 to 70 degrees two-theta, low angle first)
- 2θ 29.46, intensity 56.3
- 2θ 29.71, intensity 26.4
- 2θ 29.98, intensity 100.0
- 2θ 36.28, intensity 63.2
- 2θ 36.93, intensity 26.6
- 2θ 40.42, intensity 29.8
- 2θ 42.21, intensity 17.7
- 2θ 50.80, intensity 24.3


6.
For BeCr4, the GGA-PBE geometry in Alexandria gives the calculated PXRD pattern in this record (CuKα).
Kinematic intensities with the Lorentz-polarization factor, no thermal factor.

Structure:
Lattice parameters (Å, degrees): 5.516 5.516 5.516 140.95 140.95 56.42
Element x y z (fractional)
1 Be 0.000 0.000 0.000
2 Cr 0.250 0.750 0.500
3 Cr 0.386 0.386 0.000
4 Cr 0.614 0.614 0.000
5 Cr 0.750 0.250 0.500

Peak list (8 most intense, 5 to 70 degrees two-theta, low angle first)
- 2θ 18.25, intensity 76.8
- 2θ 25.84, intensity 100.0
- 2θ 36.93, intensity 27.7
- 2θ 39.21, intensity 92.3
- 2θ 49.44, intensity 65.0
- 2θ 51.40, intensity 98.0
- 2θ 53.27, intensity 22.3
- 2θ 56.62, intensity 19.1


7.
For PmTmMg, the GGA-PBE geometry in Alexandria gives the calculated PXRD pattern in this record (CuKα).
Kinematic intensities with the Lorentz-polarization factor, no thermal factor.

Structure:
Lattice parameters (Å, degrees): 3.434 9.439 5.449 90.00 90.00 90.00
Element x y z (fractional)
1 Pm 0.000 0.078 0.000
2 Pm 0.000 0.922 0.500
3 Tm 0.500 0.263 0.500
4 Tm 0.500 0.737 0.000
5 Mg 0.000 0.419 0.001
6 Mg 0.000 0.581 0.501

Peak list (8 most intense, 5 to 70 degrees two-theta, low angle first)
- 2θ 9.37, intensity 38.6
- 2θ 18.80, intensity 18.7
- 2θ 24.96, intensity 15.8
- 2θ 32.24, intensity 100.0
- 2θ 32.87, intensity 84.1
- 2θ 46.71, intensity 35.0
- 2θ 58.29, intensity 35.2
- 2θ 64.10, intensity 24.5


8.
For Cu3Ni7Ir, the GGA-PBE geometry in Alexandria gives the calculated PXRD pattern in this record (CuKα).
Kinematic intensities with the Lorentz-polarization factor, no thermal factor.

Structure:
Lattice parameters (Å, degrees): 5.837 5.837 4.584 107.38 107.38 89.64
Element x y z (fractional)
1 Cu 0.000 0.000 0.000
2 Cu 0.207 0.793 0.500
3 Cu 0.793 0.207 0.500
4 Ni 0.067 0.582 0.825
5 Ni 0.214 0.214 0.545
6 Ni 0.418 0.933 0.175
7 Ni 0.500 0.500 0.500
8 Ni 0.582 0.067 0.825
9 Ni 0.786 0.786 0.455
10 Ni 0.933 0.418 0.175
11 Ir 0.500 0.500 0.000

Peak list (8 most intense, 5 to 70 degrees two-theta, low angle first)
- 2θ 15.98, intensity 34.7
- 2θ 24.35, intensity 37.6
- 2θ 32.77, intensity 41.9
- 2θ 39.74, intensity 61.6
- 2θ 44.02, intensity 65.4
- 2θ 44.56, intensity 100.0
- 2θ 49.10, intensity 33.6
- 2θ 49.30, intensity 58.0


9.
For Tl2Co, the GGA-PBE geometry in Alexandria gives the calculated PXRD pattern in this record (CuKα).
Kinematic intensities with the Lorentz-polarization factor, no thermal factor.

Structure:
Lattice parameters (Å, degrees): 6.708 6.708 3.193 90.00 90.00 90.00
Element x y z (fractional)
1 Tl 0.226 0.226 0.000
2 Tl 0.274 0.726 0.500
3 Tl 0.726 0.274 0.500
4 Tl 0.774 0.774 0.000
5 Co 0.000 0.000 0.500
6 Co 0.500 0.500 0.000

Peak list (8 most intense, 5 to 70 degrees two-theta, low angle first)
- 2θ 26.58, intensity 61.3
- 2θ 29.78, intensity 12.7
- 2θ 33.84, intensity 100.0
- 2θ 37.94, intensity 43.9
- 2θ 49.78, intensity 12.5
- 2θ 51.74, intensity 50.7
- 2θ 54.74, intensity 12.8
- 2θ 64.66, intensity 10.9


10.
For Rb4TmU3O12, the GGA-PBE geometry in Alexandria gives the calculated PXRD pattern in this record (CuKα).
Kinematic intensities with the Lorentz-polarization factor, no thermal factor.

Structure:
Lattice parameters (Å, degrees): 7.516 7.516 7.516 109.47 109.47 109.47
Element x y z (fractional)
1 Rb 0.000 0.000 0.500
2 Rb 0.000 0.500 0.000
3 Rb 0.500 0.000 0.000
4 Rb 0.500 0.500 0.500
5 Tm 0.000 0.000 0.000
6 U 0.000 0.500 0.500
7 U 0.500 0.000 0.500
8 U 0.500 0.500 0.000
9 O 0.000 0.264 0.264
10 O 0.000 0.736 0.736
11 O 0.250 0.500 0.750
12 O 0.250 0.750 0.500
13 O 0.264 0.000 0.264
14 O 0.264 0.264 0.000
15 O 0.500 0.250 0.750
16 O 0.500 0.750 0.250
17 O 0.736 0.000 0.736
18 O 0.736 0.736 0.000
19 O 0.750 0.250 0.500
20 O 0.750 0.500 0.250

Peak list (8 most intense, 5 to 70 degrees two-theta, low angle first)
- 2θ 20.47, intensity 29.6
- 2θ 29.10, intensity 100.0
- 2θ 41.62, intensity 28.8
- 2θ 46.81, intensity 14.1
- 2θ 51.59, intensity 42.1
- 2θ 60.33, intensity 18.7
- 2θ 64.41, intensity 6.9
- 2θ 68.36, intensity 19.0


11.
For Lu3Ge13Ir4, the GGA-PBE geometry in Alexandria gives the calculated PXRD pattern in this record (CuKα).
Kinematic intensities with the Lorentz-polarization factor, no thermal factor.

Structure:
Lattice parameters (Å, degrees): 8.991 8.991 8.991 90.00 90.00 90.00
Element x y z (fractional)
1 Lu 0.000 0.250 0.500
2 Lu 0.000 0.750 0.500
3 Lu 0.250 0.500 0.000
4 Lu 0.500 0.000 0.250
5 Lu 0.500 0.000 0.750
6 Lu 0.750 0.500 0.000
7 Ge 0.000 0.000 0.000
8 Ge 0.000 0.310 0.144
9 Ge 0.000 0.310 0.856
10 Ge 0.000 0.690 0.144
11 Ge 0.000 0.690 0.856
12 Ge 0.144 0.000 0.310
13 Ge 0.144 0.000 0.690
14 Ge 0.190 0.500 0.356
15 Ge 0.190 0.500 0.644
16 Ge 0.310 0.144 0.000
17 Ge 0.310 0.856 0.000
18 Ge 0.356 0.190 0.500
19 Ge 0.356 0.810 0.500
20 Ge 0.500 0.356 0.190
21 Ge 0.500 0.356 0.810
22 Ge 0.500 0.500 0.500
23 Ge 0.500 0.644 0.190
24 Ge 0.500 0.644 0.810
25 Ge 0.644 0.190 0.500
26 Ge 0.644 0.810 0.500
27 Ge 0.690 0.144 0.000
28 Ge 0.690 0.856 0.000
29 Ge 0.810 0.500 0.356
30 Ge 0.810 0.500 0.644
31 Ge 0.856 0.000 0.310
32 Ge 0.856 0.000 0.690
33 Ir 0.250 0.250 0.250
34 Ir 0.250 0.250 0.750
35 Ir 0.250 0.750 0.250
36 Ir 0.250 0.750 0.750
37 Ir 0.750 0.250 0.250
38 Ir 0.750 0.250 0.750
39 Ir 0.750 0.750 0.250
40 Ir 0.750 0.750 0.750

Peak list (8 most intense, 5 to 70 degrees two-theta, low angle first)
- 2θ 19.75, intensity 40.1
- 2θ 34.56, intensity 58.7
- 2θ 36.02, intensity 100.0
- 2θ 37.42, intensity 41.3
- 2θ 40.12, intensity 53.6
- 2θ 45.09, intensity 36.4
- 2θ 49.67, intensity 47.7
- 2θ 69.32, intensity 39.4


Q: Number 8 is which compound?
A: Cu3Ni7Ir